(1)
Simulated powder diffraction line list
Compound: RbTiPdBr6
Radiation: Cu Kα (weighted mean of Kα1 and Kα2)
Structure: DFT lattice parameters and positions (PBE)

Structural model:
```
9
Lattice="3.8673 -5.6022 0.0000 3.8673 5.6022 0.0000 -1.3072 0.0000 7.2640" Properties=species:S:1:pos:R:3 pbc="T T T"
Rb 0.0000 0.0000 0.0000
Ti 3.2137 -0.9877 3.6320
Pd 3.2137 2.9669 3.6320
Br 2.5274 1.0667 2.0877
Br 0.8403 -0.8582 4.6840
Br 3.9000 1.0667 5.1763
Br 2.4367 -2.4794 1.8610
Br 5.5871 -0.8582 2.5800
Br 3.9907 -2.4794 5.4030
```

The 6 most intense peaks (10 to 90 degrees two-theta), low angle first:
2theta	intensity
12.2	83.6
20.0	56.4
26.5	60.5
29.2	45.6
30.2	100.0
37.9	69.0



(2)
Simulated powder diffraction line list
Compound: MnGa2S4
Radiation: Cu Kα (weighted mean of Kα1 and Kα2)
Structure: DFT lattice parameters and positions (PBE)

Structural model:
```
7
Lattice="6.2230 0.0000 0.0000 0.0000 3.7114 0.0000 -0.0443 0.0000 6.7820" Properties=species:S:1:pos:R:3 pbc="T T T"
Mn 0.0000 0.0000 0.0000
Ga 3.2653 1.8557 5.3864
Ga 6.0709 1.8557 3.2770
S 0.8236 0.0000 2.2443
S 0.8411 1.8557 5.4603
S 3.7831 0.0000 6.7057
S 3.8461 1.8557 3.2543
```

The 6 most intense peaks (10 to 90 degrees two-theta), low angle first:
2theta	intensity
27.4	100.0
28.7	69.3
31.0	57.3
40.0	39.5
47.1	61.3
52.4	35.0



(3)
Simulated powder diffraction line list
Compound: NaInSe2
Radiation: Cu Kα (weighted mean of Kα1 and Kα2)
Structure: DFT lattice parameters and positions (PBE)

Structural model:
```
8
Lattice="4.1490 0.0000 0.0000 0.0000 7.0881 0.0000 -2.0717 0.0000 8.0691" Properties=species:S:1:pos:R:3 pbc="T T T"
Na 0.0049 0.0000 2.9686
Na 2.0723 3.5441 5.1005
In 0.0042 0.0649 6.8227
In 2.0731 3.6090 1.2464
Se -0.0016 2.9379 2.7757
Se -0.0022 2.6797 6.9082
Se 2.0795 6.2238 1.1609
Se 2.0789 6.4819 5.2934
```

The 6 most intense peaks (10 to 90 degrees two-theta), low angle first:
2theta	intensity
16.6	77.3
22.1	100.0
25.1	91.5
25.4	61.7
35.2	64.9
44.5	74.9